Starting from a DFT-relaxed cell (GGA-PBE, Alexandria), the powder diffraction line list of Cl was simulated for copper Kα.
Kinematic intensities with the Lorentz-polarization factor, no thermal factor.

Atomic structure:
a = 11.8117 Å, b = 11.8117 Å, c = 4.2088 Å
α = 90.00°, β = 90.00°, γ = 120.00°
Space group P6_3/m (No. 176)
One atom of each set of equivalent atoms:
Cl  0.0898  0.6330  0.2500
Cl  0.1401  0.8216  0.2500

The 8 most intense peaks (10 to 90 degrees two-theta), by angle:
2θ 15.00, I 77, hkl 1 1 0; 2θ 22.85, I 60, hkl 1 0 1; 2θ 23.00, I 74, hkl 2 1 0; 2θ 26.00, I 57, hkl 1 1 1; 2θ 27.44, I 100, hkl 2 0 1; 2θ 38.31, I 29, hkl 2 3 0; 2θ 46.05, I 20, hkl 1 4 1; 2θ 52.06, I 36, hkl 2 4 1